No. 1
Simulated powder diffractogram
Compound: U3Sb4Ir3
Radiation: copper Kα
Structure: a structure optimized by DFT (GGA-PBE)
No peak broadening, texture or thermal motion is included.

Cell and atoms:
```
U3Sb4Ir3
1.0
-4.8063 4.8063 4.8063
4.8063 -4.8063 4.8063
4.8063 4.8063 -4.8063
U Sb Ir
6 8 6
Direct
0.1250 0.7500 0.8750
0.2500 0.6250 0.3750
0.3750 0.2500 0.6250
0.6250 0.3750 0.2500
0.7500 0.8750 0.1250
0.8750 0.1250 0.7500
0.0000 0.3232 0.5000
0.0000 0.8232 0.5000
0.1768 0.1768 0.1768
0.3232 0.5000 0.0000
0.5000 0.0000 0.3232
0.5000 0.0000 0.8232
0.6768 0.6768 0.6768
0.8232 0.5000 0.0000
0.1250 0.8750 0.2500
0.2500 0.1250 0.8750
0.3750 0.6250 0.7500
0.6250 0.7500 0.3750
0.7500 0.3750 0.6250
0.8750 0.2500 0.1250
```

Largest 10 diffraction maxima, most intense first, 2θ from 10° to 90°:
d [Å]	intensity
2.569	100
2.149	55
3.924	19
1.755	18
3.399	14
1.962	13
1.308	13
1.387	13
3.040	13
1.333	12


No. 2
Simulated powder diffractogram
Compound: Sc2Ir
Radiation: copper Kα
Structure: a structure optimized by DFT (GGA-PBE)
No peak broadening, texture or thermal motion is included.

Cell and atoms:
```
Sc2Ir
1.0
7.4602 0.0000 0.0000
-3.7301 6.4607 0.0000
0.0000 0.0000 3.6030
Sc Ir
6 3
Direct
0.0000 0.4095 0.0000
0.0000 0.7408 0.5000
0.2592 0.2592 0.5000
0.4095 0.0000 0.0000
0.5905 0.5905 0.0000
0.7408 0.0000 0.5000
0.0000 0.0000 0.0000
0.3333 0.6667 0.5000
0.6667 0.3333 0.5000
```

Largest 10 diffraction maxima, most intense first, 2θ from 10° to 90°:
d [Å]	intensity
3.730	100
2.405	77
2.021	60
3.147	59
2.154	51
2.591	27
1.371	26
1.382	25
1.865	20
1.622	20


No. 3
Simulated powder diffractogram
Compound: Sc2Ir2Se
Radiation: copper Kα
Structure: a structure optimized by DFT (GGA-PBE)
No peak broadening, texture or thermal motion is included.

Cell and atoms:
```
Sc2Ir2Se
1.0
1.8428 -7.0874 0.0000
1.8428 7.0874 0.0000
0.0000 0.0000 8.0099
Sc Ir Se
4 4 2
Direct
0.1076 0.8924 0.5146
0.1076 0.8924 0.9854
0.8924 0.1076 0.0146
0.8924 0.1076 0.4854
0.2772 0.7228 0.6028
0.2772 0.7228 0.8972
0.7228 0.2772 0.1028
0.7228 0.2772 0.3972
0.4929 0.5071 0.2500
0.5071 0.4929 0.7500
```

Largest 10 diffraction maxima, most intense first, 2θ from 10° to 90°:
d [Å]	intensity
7.087	100
3.259	53
2.138	44
2.247	38
3.544	27
2.732	26
1.966	19
1.927	19
3.487	15
1.843	15


No. 4
Simulated powder diffractogram
Compound: Zr3Sc3Te2Ir
Radiation: copper Kα
Structure: a structure optimized by DFT (GGA-PBE)
No peak broadening, texture or thermal motion is included.

Cell and atoms:
```
Zr3Sc3Te2Ir
1.0
7.8883 0.0000 0.0000
-3.9442 6.8315 0.0000
0.0000 0.0000 3.6855
Zr Sc Te Ir
3 3 2 1
Direct
0.0000 0.7508 0.0000
0.2492 0.2492 0.0000
0.7508 0.0000 0.0000
0.0000 0.3977 0.5000
0.3977 0.0000 0.5000
0.6023 0.6023 0.5000
0.3333 0.6667 0.0000
0.6667 0.3333 0.0000
0.0000 0.0000 0.5000
```

Largest 10 diffraction maxima, most intense first, 2θ from 10° to 90°:
d [Å]	intensity
2.505	100
2.115	95
3.944	63
2.277	61
2.693	44
6.831	43
1.442	40
3.244	32
2.582	30
1.432	27


No. 5
Simulated powder diffractogram
Compound: ScTl3Ir2
Radiation: copper Kα
Structure: a structure optimized by DFT (GGA-PBE)
No peak broadening, texture or thermal motion is included.

Cell and atoms:
```
ScTl3Ir2
1.0
5.8369 0.0000 0.0000
-2.9185 5.0549 0.0000
0.0000 0.0000 4.4414
Sc Tl Ir
1 3 2
Direct
0.0000 0.0000 0.0000
0.0000 0.5000 0.5000
0.5000 0.0000 0.5000
0.5000 0.5000 0.5000
0.3333 0.6667 0.0000
0.6667 0.3333 0.0000
```

Largest 10 diffraction maxima, most intense first, 2θ from 10° to 90°:
d [Å]	intensity
2.197	100
2.439	94
5.055	88
2.221	32
1.220	29
2.527	28
1.459	26
1.575	25
1.277	18
2.033	17


No. 6
Simulated powder diffractogram
Compound: ScIrW2
Radiation: copper Kα
Structure: a structure optimized by DFT (GGA-PBE)
No peak broadening, texture or thermal motion is included.

Cell and atoms:
```
ScIrW2
1.0
0.0000 3.1899 3.1899
3.1899 0.0000 3.1899
3.1899 3.1899 0.0000
Sc Ir W
1 1 2
Direct
0.0000 0.0000 0.0000
0.2500 0.2500 0.2500
0.5000 0.5000 0.5000
0.7500 0.7500 0.7500
```

Largest 10 diffraction maxima, most intense first, 2θ from 10° to 90°:
d [Å]	intensity
2.256	100
1.302	35
1.595	17
3.683	13
1.128	11
3.190	7
1.924	7
1.427	3
1.464	3
1.228	2


No. 7
Simulated powder diffractogram
Compound: SnIr2Se5
Radiation: copper Kα
Structure: a structure optimized by DFT (GGA-PBE)
No peak broadening, texture or thermal motion is included.

Cell and atoms:
```
SnIr2Se5
1.0
7.7647 0.0000 0.0000
0.0000 7.6299 0.0000
-2.6466 0.0000 12.5757
Sn Ir Se
4 8 20
Direct
0.1638 0.2500 0.3368
0.1648 0.7500 0.3376
0.8352 0.2500 0.6624
0.8362 0.7500 0.6632
0.2495 0.2500 0.1472
0.2494 0.7500 0.1475
0.2551 0.0000 0.8501
0.2551 0.5000 0.8501
0.7449 0.0000 0.1499
0.7449 0.5000 0.1499
0.7506 0.2500 0.8525
0.7505 0.7500 0.8528
0.0441 0.0000 0.1048
0.0441 0.5000 0.1048
0.1892 0.2500 0.7165
0.1896 0.7500 0.7165
0.2464 0.0006 0.4714
0.2464 0.4994 0.4714
0.3334 0.7500 0.9726
0.3339 0.2500 0.9724
0.4605 0.0000 0.2189
0.4605 0.5000 0.2189
0.5395 0.0000 0.7811
0.5395 0.5000 0.7811
0.6661 0.7500 0.0276
0.6666 0.2500 0.0274
0.7536 0.5006 0.5286
0.7536 0.9994 0.5286
0.8104 0.2500 0.2835
0.8108 0.7500 0.2835
0.9559 0.0000 0.8952
0.9559 0.5000 0.8952
```

Largest 10 diffraction maxima, most intense first, 2θ from 10° to 90°:
d [Å]	intensity
1.906	100
3.799	95
2.887	89
3.216	79
1.940	66
2.821	58
2.120	56
1.773	53
3.157	41
4.192	37


No. 8
Simulated powder diffractogram
Compound: Sn8Ir2Se
Radiation: copper Kα
Structure: a structure optimized by DFT (GGA-PBE)
No peak broadening, texture or thermal motion is included.

Cell and atoms:
```
Sn8Ir2Se
1.0
10.4240 0.0000 0.0000
0.0000 10.4240 0.0000
0.0000 0.0000 10.0221
Sn Ir Se
32 8 4
Direct
0.0000 0.0000 0.1720
0.0000 0.0000 0.8280
0.0207 0.2933 0.3123
0.0207 0.2933 0.6877
0.1034 0.8966 0.5000
0.1752 0.1752 0.0000
0.1764 0.8236 0.0000
0.2067 0.5207 0.1877
0.2067 0.5207 0.8123
0.2933 0.0207 0.3123
0.2933 0.0207 0.6877
0.3236 0.3236 0.5000
0.3248 0.6752 0.5000
0.3966 0.3966 0.0000
0.4793 0.7933 0.1877
0.4793 0.7933 0.8123
0.5000 0.5000 0.3280
0.5000 0.5000 0.6720
0.5207 0.2067 0.1877
0.5207 0.2067 0.8123
0.6034 0.6034 0.0000
0.6752 0.3248 0.5000
0.6764 0.6764 0.5000
0.7067 0.9793 0.3123
0.7067 0.9793 0.6877
0.7933 0.4793 0.1877
0.7933 0.4793 0.8123
0.8236 0.1764 0.0000
0.8248 0.8248 0.0000
0.8966 0.1034 0.5000
0.9793 0.7067 0.3123
0.9793 0.7067 0.6877
0.2325 0.7675 0.2575
0.2325 0.7675 0.7425
0.2675 0.2675 0.2425
0.2675 0.2675 0.7575
0.7325 0.7325 0.2425
0.7325 0.7325 0.7575
0.7675 0.2325 0.2575
0.7675 0.2325 0.7425
0.0000 0.5000 0.0000
0.0000 0.5000 0.5000
0.5000 0.0000 0.0000
0.5000 0.0000 0.5000
```

Largest 10 diffraction maxima, most intense first, 2θ from 10° to 90°:
d [Å]	intensity
2.715	100
2.312	79
2.754	62
2.258	51
2.606	49
2.457	41
1.675	38
2.113	38
5.212	36
1.842	34